This entry pairs a crystal structure of Mn2PO5 with its simulated X-ray diffraction stick pattern. Radiation: λ = 1.5418 Å (Cu Kα). Structure: DFT lattice parameters and positions (PBE+U).
No peak broadening, texture or thermal motion is included.

Cell and atoms:
Lattice parameters (Å, degrees): 8.6827 6.4192 6.4890 90.00 102.73 90.00
Atoms (fractional coordinates):
Mn 0.0106 0.1455 0.2226
Mn 0.0106 0.3545 0.7226
Mn 0.3456 0.1219 0.0014
Mn 0.3456 0.3781 0.5014
Mn 0.6544 0.6219 0.4986
Mn 0.6544 0.8781 0.9986
Mn 0.9894 0.6455 0.2774
Mn 0.9894 0.8545 0.7774
P 0.2909 0.5909 0.9988
P 0.2909 0.9091 0.4988
P 0.7091 0.0909 0.5012
P 0.7091 0.4091 0.0012
O 0.0967 0.1085 0.8764
O 0.0967 0.3915 0.3764
O 0.1232 0.6668 0.0251
O 0.1232 0.8332 0.5251
O 0.2488 0.0352 0.2848
O 0.2488 0.4648 0.7848
O 0.3607 0.0723 0.6678
O 0.3607 0.4277 0.1678
O 0.3973 0.7197 0.4926
O 0.3973 0.7803 0.9926
O 0.6027 0.2197 0.0074
O 0.6027 0.2803 0.5074
O 0.6393 0.5723 0.8322
O 0.6393 0.9277 0.3322
O 0.7512 0.5352 0.2152
O 0.7512 0.9648 0.7152
O 0.8768 0.1668 0.4749
O 0.8768 0.3332 0.9749
O 0.9033 0.6085 0.6236
O 0.9033 0.8915 0.1236

Most intense lines, 2θ = 10–80°, sorted by position:
2θ (°)	d [Å]	I_rel	(hkl)
10.4	8.469	16	1 0 0
27.8	3.205	40	1 0 -2
31.3	2.855	35	2 0 -2
31.7	2.823	64	3 0 0
32.3	2.771	25	1 0 2
34.0	2.633	100	1 2 1
36.1	2.489	25	2 2 -1
44.2	2.049	15	1 1 -3
50.9	1.793	31	1 2 -3
56.6	1.627	24	4 2 1
57.4	1.604	16	0 4 0
60.5	1.531	17	2 2 3